[1]
Starting from DFT lattice parameters and positions (PBE), the XRD peak list of Li6AgPd8 was computed for Cu Ka.

Structural model:
Cell: 9.3181 9.3181 2.8306 Å, 90.00 90.00 120.00°
Space group P-3 (No. 147)
Unique sites:
Li 0.0957 0.6126 0.2744
Ag 0.0000 0.0000 0.5000
Pd 0.0900 0.3189 0.2060
Pd 0.3333 0.6667 0.7683

Largest 10 diffraction maxima, by angle, 2θ = 10–90°:
hkl 1 0 0, 2θ 10.96, intensity 35
hkl 2 0 0, 2θ 22.03, intensity 33
hkl 3 0 0, 2θ 33.31, intensity 35
hkl 1 1 1, 2θ 37.17, intensity 37
hkl 2 2 0, 2θ 38.65, intensity 41
hkl 2 0 1, 2θ 38.86, intensity 100
hkl 1 3 0, 2θ 40.30, intensity 59
hkl 1 2 1, 2θ 43.62, intensity 24
hkl 5 -3 1, 2θ 59.68, intensity 23
hkl 5 2 0, 2θ 73.25, intensity 24

***

[2]
Starting from DFT lattice parameters and positions (PBE), the XRD peak list of RbCoAsCl6 was computed for Cu Ka.

Structural model:
Cell: 6.502 11.264 7.409 Å, 90.00 90.27 90.00°
Space group C2 (No. 5)
Unique sites:
Rb 0.000 0.000 0.000
Co 0.000 0.668 0.500
As 0.000 0.334 0.500
Cl 0.121 0.504 0.693
Cl 0.180 0.811 0.690
Cl 0.194 0.185 0.691

Largest 10 diffraction maxima, by angle, 2θ = 10–90°:
hkl 0 0 1, 2θ 11.95, intensity 36
hkl 1 1 1, 2θ 19.80, intensity 100
hkl 2 0 0, 2θ 27.43, intensity 12
hkl 2 0 -1, 2θ 30.01, intensity 29
hkl 0 4 1, 2θ 34.06, intensity 15
hkl 2 0 -2, 2θ 36.71, intensity 29
hkl 1 3 2, 2θ 36.83, intensity 45
hkl 3 1 -1, 2θ 44.27, intensity 23
hkl 0 6 0, 2θ 48.50, intensity 24
hkl 1 3 -4, 2θ 57.18, intensity 10

***

[3]
Starting from DFT lattice parameters and positions (PBE), the XRD peak list of Si7SnN10 was computed for Cu Ka.

Structural model:
Cell: 6.850 6.829 9.750 Å, 90.00 106.11 90.00°
Space group Pc (No. 7)
Unique sites:
Si 0.000 0.024 0.000
Si 0.125 0.364 0.667
Si 0.308 0.379 0.985
Si 0.573 0.402 0.750
Si 0.759 0.383 0.059
Si 0.818 0.025 0.693
Si 0.947 0.369 0.363
Sn 0.450 0.002 0.343
N 0.021 0.135 0.646
N 0.164 0.415 0.501
N 0.200 0.162 0.998
N 0.350 0.372 0.808
N 0.541 0.427 0.111
N 0.623 0.166 0.710
N 0.751 0.498 0.900
N 0.776 0.130 0.039
N 0.903 0.118 0.346
N 0.961 0.461 0.199

Largest 10 diffraction maxima, by angle, 2θ = 10–90°:
hkl 1 1 -1, 2θ 19.23, intensity 36
hkl 0 1 2, 2θ 23.03, intensity 44
hkl 1 1 -2, 2θ 23.90, intensity 57
hkl 0 2 0, 2θ 26.10, intensity 75
hkl 1 0 2, 2θ 26.24, intensity 56
hkl 1 1 2, 2θ 29.37, intensity 69
hkl 2 1 0, 2θ 30.15, intensity 52
hkl 2 1 -2, 2θ 31.45, intensity 100
hkl 2 0 2, 2θ 37.52, intensity 49
hkl 1 1 -4, 2θ 39.36, intensity 44

***

[4]
Starting from DFT lattice parameters and positions (PBE), the XRD peak list of Ce8Sb4Pb3 was computed for Cu Ka.

Structural model:
Cell: 12.756 12.762 8.974 Å, 90.00 134.66 90.00°
Space group C2/m (No. 12)
Unique sites:
Ce 0.000 0.248 0.000
Ce 0.000 0.248 0.500
Ce 0.246 0.000 0.494
Ce 0.246 0.000 0.997
Sb 0.000 0.000 0.000
Sb 0.000 0.000 0.500
Sb 0.250 0.250 0.500
Pb 0.000 0.500 0.500
Pb 0.250 0.250 0.000

Largest 10 diffraction maxima, by angle, 2θ = 10–90°:
hkl 0 4 0, 2θ 27.97, intensity 100
hkl 4 0 0, 2θ 39.73, intensity 13
hkl 0 4 2, 2θ 39.96, intensity 51
hkl 4 0 -4, 2θ 40.19, intensity 13
hkl 4 4 0, 2θ 49.29, intensity 14
hkl 4 4 -4, 2θ 49.68, intensity 14
hkl 0 8 0, 2θ 57.80, intensity 13
hkl 0 8 2, 2θ 65.41, intensity 24
hkl 4 4 2, 2θ 72.27, intensity 9
hkl 8 4 -6, 2θ 72.89, intensity 9

***

[5]
Starting from DFT lattice parameters and positions (PBE), the XRD peak list of IrF12 was computed for Cu Ka.

Structural model:
Cell: 6.887 6.887 6.887 Å, 90.00 90.00 90.00°
Space group Im-3 (No. 204)
Unique sites:
Ir 0.000 0.000 0.000
F 0.000 0.289 0.139

Largest 10 diffraction maxima, by angle, 2θ = 10–90°:
hkl 1 1 0, 2θ 18.22, intensity 100
hkl 2 0 0, 2θ 25.87, intensity 17
hkl 2 1 1, 2θ 31.83, intensity 21
hkl 3 0 1, 2θ 41.46, intensity 32
hkl 3 1 2, 2θ 49.52, intensity 35
hkl 4 1 1, 2θ 56.71, intensity 13
hkl 4 0 2, 2θ 60.08, intensity 7
hkl 4 2 2, 2θ 66.51, intensity 9
hkl 4 3 1, 2θ 69.61, intensity 12
hkl 5 3 2, 2θ 87.27, intensity 10

***

[6]
Starting from DFT lattice parameters and positions (PBE), the XRD peak list of HoEr9Th2 was computed for Cu Ka.

Structural model:
Cell: 4.984 4.984 14.909 Å, 90.00 90.00 90.00°
Space group P4/mmm (No. 123)
Unique sites:
Ho 0.000 0.000 0.000
Er 0.000 0.500 0.168
Er 0.000 0.500 0.500
Er 0.500 0.500 0.000
Er 0.500 0.500 0.333
Th 0.000 0.000 0.334

Largest 10 diffraction maxima, by angle, 2θ = 10–90°:
hkl 1 1 3, 2θ 31.11, intensity 100
hkl 2 0 0, 2θ 36.04, intensity 34
hkl 0 0 6, 2θ 36.15, intensity 17
hkl 2 2 0, 2θ 51.95, intensity 36
hkl 3 1 3, 2θ 61.75, intensity 29
hkl 1 1 9, 2θ 61.89, intensity 14
hkl 2 2 6, 2θ 64.87, intensity 12
hkl 3 3 3, 2θ 84.81, intensity 6
hkl 3 1 9, 2θ 84.94, intensity 12
hkl 4 2 0, 2θ 87.58, intensity 11

***

[7]
Starting from DFT lattice parameters and positions (PBE), the XRD peak list of La2Sm6Dy5 was computed for Cu Ka.

Structural model:
Cell: 11.856 20.506 3.644 Å, 90.00 90.00 90.00°
Space group Pbam (No. 55)
Unique sites:
La 0.168 0.219 0.000
Sm 0.060 0.924 0.000
Sm 0.078 0.637 0.000
Sm 0.179 0.376 0.500
Dy 0.000 0.500 0.500
Dy 0.093 0.780 0.500
Dy 0.200 0.054 0.500

Largest 10 diffraction maxima, by angle, 2θ = 10–90°:
hkl 4 1 0, 2θ 30.47, intensity 56
hkl 1 4 1, 2θ 31.04, intensity 45
hkl 1 7 0, 2θ 31.45, intensity 98
hkl 2 3 1, 2θ 31.66, intensity 100
hkl 2 4 1, 2θ 33.75, intensity 41
hkl 3 6 0, 2θ 34.69, intensity 28
hkl 3 3 1, 2θ 36.01, intensity 26
hkl 0 0 2, 2θ 50.07, intensity 23
hkl 6 4 1, 2θ 55.92, intensity 29
hkl 1 7 2, 2θ 60.33, intensity 31

***

[8]
Starting from DFT lattice parameters and positions (PBE), the XRD peak list of Cs5Bi2 was computed for Cu Ka.

Structural model:
Cell: 9.830 19.500 8.532 Å, 90.00 90.00 90.00°
Space group Ibam (No. 72)
Unique sites:
Cs 0.000 0.000 0.250
Cs 0.000 0.238 0.250
Cs 0.150 0.420 0.000
Bi 0.243 0.377 0.500

Largest 10 diffraction maxima, by angle, 2θ = 10–90°:
hkl 1 2 1, 2θ 16.49, intensity 37
hkl 1 1 2, 2θ 23.18, intensity 29
hkl 2 4 0, 2θ 25.74, intensity 86
hkl 2 0 2, 2θ 27.67, intensity 100
hkl 0 4 2, 2θ 27.79, intensity 86
hkl 3 2 1, 2θ 30.63, intensity 38
hkl 1 6 1, 2θ 30.81, intensity 30
hkl 4 4 2, 2θ 46.54, intensity 25
hkl 2 8 2, 2θ 46.73, intensity 25
hkl 2 4 4, 2θ 50.24, intensity 29

***

[9]
Starting from DFT lattice parameters and positions (PBE), the XRD peak list of Ag3GeF9 was computed for Cu Ka.

Structural model:
Cell: 13.243 6.303 10.087 Å, 90.00 99.28 90.00°
Space group C2/c (No. 15)
Unique sites:
Ag 0.000 0.032 0.250
Ag 0.196 0.377 0.814
Ge 0.000 0.500 0.000
F 0.046 0.289 0.896
F 0.069 0.305 0.417
F 0.114 0.465 0.130
F 0.159 0.001 0.222
F 0.250 0.250 0.000

Largest 10 diffraction maxima, by angle, 2θ = 10–90°:
hkl 1 1 -1, 2θ 17.43, intensity 32
hkl 0 0 2, 2θ 17.82, intensity 46
hkl 2 0 2, 2θ 24.16, intensity 26
hkl 1 1 2, 2θ 24.60, intensity 100
hkl 3 1 0, 2θ 24.84, intensity 25
hkl 3 1 -1, 2θ 25.27, intensity 42
hkl 3 1 -2, 2θ 28.70, intensity 89
hkl 0 2 1, 2θ 29.73, intensity 45
hkl 6 0 -2, 2θ 42.53, intensity 25
hkl 4 0 4, 2θ 49.51, intensity 28

***

[10]
Starting from DFT lattice parameters and positions (PBE), the XRD peak list of CaPuMg2O6 was computed for Cu Ka.

Structural model:
Cell: 5.4704 5.4704 14.7310 Å, 90.00 90.00 120.00°
Space group R3 (No. 146, hexagonal axes)
Unique sites:
Ca 0.0000 0.0000 0.0000
Pu 0.0000 0.0000 0.4843
Mg 0.0000 0.0000 0.2776
Mg 0.0000 0.0000 0.7911
O 0.0142 0.3469 0.5513
O 0.0293 0.6294 0.0596

Largest 10 diffraction maxima, by angle, 2θ = 10–90°:
hkl 0 0 3, 2θ 18.07, intensity 40
hkl 1 0 1, 2θ 19.68, intensity 91
hkl 0 1 2, 2θ 22.31, intensity 100
hkl 1 0 4, 2θ 30.75, intensity 68
hkl 1 1 0, 2θ 32.74, intensity 54
hkl 2 -1 3, 2θ 37.64, intensity 42
hkl 2 0 2, 2θ 39.98, intensity 23
hkl 0 2 4, 2θ 45.53, intensity 26
hkl 2 -1 6, 2θ 49.91, intensity 45
hkl 3 -1 4, 2θ 57.20, intensity 26

***

[11]
Starting from DFT lattice parameters and positions (PBE), the XRD peak list of K3PrY2Se6 was computed for Cu Ka.

Structural model:
Cell: 7.400 12.817 8.084 Å, 90.00 107.79 90.00°
Space group C2/m (No. 12)
Unique sites:
K 0.000 0.000 0.000
K 0.000 0.335 0.000
Pr 0.000 0.500 0.500
Y 0.000 0.167 0.500
Se 0.227 0.000 0.708
Se 0.241 0.329 0.708

Largest 10 diffraction maxima, by angle, 2θ = 10–90°:
hkl 0 0 1, 2θ 11.50, intensity 36
hkl 1 3 1, 2θ 28.66, intensity 100
hkl 1 3 2, 2θ 36.49, intensity 15
hkl 2 0 2, 2θ 39.60, intensity 33
hkl 0 6 0, 2θ 42.31, intensity 36
hkl 2 0 3, 2θ 49.95, intensity 9
hkl 4 0 0, 2θ 51.90, intensity 18
hkl 2 6 2, 2θ 59.33, intensity 10
hkl 3 3 3, 2θ 65.26, intensity 10
hkl 4 6 0, 2θ 69.11, intensity 15